1.
Diffraction record for Fe3Co4. The X-ray diffraction stick pattern is computed, not measured: it uses a crystal structure in Alexandria, relaxed with GGA-PBE and Cu Kα (λ = 1.5418 Å).
Peak positions follow from Bragg's law for the DFT cell and can differ from measured ones.

Most intense lines, 2θ = 10–90°, in order of rising 2θ:
2θ/deg  I_rel
40.70  22
41.63  19
42.24  55
44.59  56
46.01  100
49.30  39
53.20  14
63.10  30
71.00  12
83.18  15
86.65  17
87.84  14

Structural model:
```
data_Fe3Co4
_symmetry_space_group_name_H-M 'P 1'
_symmetry_Int_Tables_number 1
_cell_length_a 15.1125
_cell_length_b 15.0340
_cell_length_c 2.4271
_cell_angle_alpha 87.23
_cell_angle_beta 83.54
_cell_angle_gamma 9.23
loop_
_symmetry_equiv_pos_as_xyz
'x,y,z'
loop_
_atom_site_label
_atom_site_type_symbol
_atom_site_fract_x
_atom_site_fract_y
_atom_site_fract_z
_atom_site_occupancy
Fe1 Fe 0.0000 0.0000 0.0000 1
Fe2 Fe 0.0791 0.0791 0.9209 1
Fe3 Fe 0.9209 0.9209 0.0791 1
Co1 Co 0.2160 0.2160 0.7840 1
Co2 Co 0.3523 0.3523 0.6477 1
Co3 Co 0.6477 0.6477 0.3523 1
Co4 Co 0.7840 0.7840 0.2160 1
```

***

2.
Diffraction record for HoU2F11. The X-ray diffraction stick pattern is computed, not measured: it uses a crystal structure in Alexandria, relaxed with GGA-PBE and Cu Kα (λ = 1.5418 Å).
Peak positions follow from Bragg's law for the DFT cell and can differ from measured ones.

Most intense lines, 2θ = 10–90°, in order of rising 2θ:
2θ/deg  I_rel
16.19  44
21.14  91
21.65  69
23.60  84
24.16  100
26.66  22
27.82  29
32.71  22
33.58  29
43.46  32
44.09  30
44.64  58

Structural model:
```
data_HoU2F11
_symmetry_space_group_name_H-M 'P 1'
_symmetry_Int_Tables_number 1
_cell_length_a 8.6511
_cell_length_b 8.6511
_cell_length_c 8.6511
_cell_angle_alpha 121.58
_cell_angle_beta 106.10
_cell_angle_gamma 101.48
loop_
_symmetry_equiv_pos_as_xyz
'x,y,z'
loop_
_atom_site_label
_atom_site_type_symbol
_atom_site_fract_x
_atom_site_fract_y
_atom_site_fract_z
_atom_site_occupancy
Ho1 Ho 0.2500 0.2500 0.0000 1
Ho2 Ho 0.7500 0.7500 0.0000 1
U1 U 0.1829 0.6513 0.8343 1
U2 U 0.3171 0.1513 0.4684 1
U3 U 0.6829 0.8487 0.5316 1
U4 U 0.8171 0.3487 0.1657 1
F1 F 0.0000 0.5000 0.5000 1
F2 F 0.0307 0.9495 0.2637 1
F3 F 0.0668 0.3523 0.1426 1
F4 F 0.1858 0.4495 0.9187 1
F5 F 0.2097 0.9242 0.8574 1
F6 F 0.2121 0.3737 0.5858 1
F7 F 0.2879 0.8737 0.1617 1
F8 F 0.2903 0.1477 0.7146 1
F9 F 0.3142 0.2330 0.2637 1
F10 F 0.4332 0.5758 0.2854 1
F11 F 0.4693 0.7330 0.9187 1
F12 F 0.5000 0.0000 0.5000 1
F13 F 0.5307 0.2670 0.0813 1
F14 F 0.5668 0.4242 0.7146 1
F15 F 0.6858 0.7670 0.7363 1
F16 F 0.7097 0.8523 0.2854 1
F17 F 0.7121 0.1263 0.8383 1
F18 F 0.7879 0.6263 0.4142 1
F19 F 0.7903 0.0758 0.1426 1
F20 F 0.8142 0.5505 0.0813 1
F21 F 0.9332 0.6477 0.8574 1
F22 F 0.9693 0.0505 0.7363 1
```

***

3.
Diffraction record for FeTc2Ir9. The X-ray diffraction stick pattern is computed, not measured: it uses a crystal structure in Alexandria, relaxed with GGA-PBE and Cu Kα (λ = 1.5418 Å).
Peak positions follow from Bragg's law for the DFT cell and can differ from measured ones.

Most intense lines, 2θ = 10–90°, in order of rising 2θ:
2θ/deg  I_rel
23.05  8
32.83  6
40.50  100
47.11  49
53.08  4
58.61  3
68.83  32
73.64  1
78.43  1
82.94  13
83.06  26
87.62  11

Structural model:
```
data_FeTc2Ir9
_symmetry_space_group_name_H-M 'P 1'
_symmetry_Int_Tables_number 1
_cell_length_a 3.8557
_cell_length_b 3.8557
_cell_length_c 11.5860
_cell_angle_alpha 90.00
_cell_angle_beta 90.00
_cell_angle_gamma 90.00
loop_
_symmetry_equiv_pos_as_xyz
'x,y,z'
loop_
_atom_site_label
_atom_site_type_symbol
_atom_site_fract_x
_atom_site_fract_y
_atom_site_fract_z
_atom_site_occupancy
Fe1 Fe 0.0000 0.0000 0.0000 1
Tc1 Tc 0.0000 0.0000 0.3285 1
Tc2 Tc 0.0000 0.0000 0.6715 1
Ir1 Ir 0.0000 0.5000 0.1668 1
Ir2 Ir 0.0000 0.5000 0.5000 1
Ir3 Ir 0.0000 0.5000 0.8332 1
Ir4 Ir 0.5000 0.0000 0.1668 1
Ir5 Ir 0.5000 0.0000 0.5000 1
Ir6 Ir 0.5000 0.0000 0.8332 1
Ir7 Ir 0.5000 0.5000 0.0000 1
Ir8 Ir 0.5000 0.5000 0.3341 1
Ir9 Ir 0.5000 0.5000 0.6659 1
```